Entry 1:
# CePm3Ir2
Calculated powder XRD pattern, Cu Kα, 1.54184 Å. Input: a GGA-PBE-relaxed structure.

Principal peaks in the range 10 to 90 degrees two-theta, low angle first:
2θ 16.6, I 417
2θ 24.0, I 180
2θ 24.4, I 448
2θ 26.2, I 153
2θ 32.3, I 569
2θ 32.9, I 1000
2θ 41.4, I 704
2θ 41.9, I 328
2θ 51.7, I 179
2θ 53.9, I 295

```
CePm3Ir2
1.0
8.3348 -2.1541 0.0000
8.3348 2.1541 0.0000
-5.0017 0.0000 9.7126
Ce Pm Ir
2 6 4
direct
0.0586 0.0586 0.1598
0.9414 0.9414 0.8402
0.1725 0.1725 0.5345
0.2984 0.2984 0.9131
0.4433 0.4433 0.3002
0.5567 0.5567 0.6998
0.7016 0.7016 0.0869
0.8275 0.8275 0.4655
0.1201 0.1201 0.8953
0.3706 0.3706 0.6623
0.6294 0.6294 0.3377
0.8799 0.8799 0.1047
```

Entry 2:
# LaLuRh
Calculated powder XRD pattern, Cu Kα, 1.54184 Å. Input: a GGA-PBE-relaxed structure.

Principal peaks in the range 10 to 90 degrees two-theta, low angle first:
2θ 14.3, I 210
2θ 29.1, I 1000
2θ 38.6, I 397
2θ 44.4, I 338
2θ 51.1, I 231
2θ 53.9, I 178
2θ 60.2, I 107
2θ 72.3, I 148
2θ 77.2, I 118
2θ 86.7, I 104

```
LaLuRh
1.0
4.0847 0.0000 0.0000
-2.0423 3.5374 0.0000
0.0000 0.0000 6.2079
La Lu Rh
1 1 1
direct
0.0000 0.0000 0.0000
0.6667 0.3333 0.4780
0.3333 0.6667 0.2585
```

Entry 3:
# Tb2Y6Sc3
Calculated powder XRD pattern, Cu Kα, 1.54184 Å. Input: a GGA-PBE-relaxed structure.

Principal peaks in the range 10 to 90 degrees two-theta, low angle first:
2θ 30.5, I 470
2θ 32.0, I 570
2θ 32.2, I 1000
2θ 32.5, I 690
2θ 33.2, I 530
2θ 33.5, I 710
2θ 33.8, I 218
2θ 46.7, I 197
2θ 58.9, I 223
2θ 65.8, I 199

```
Tb2Y6Sc3
1.0
5.8793 0.0000 0.0000
-2.6208 7.8448 0.0000
-2.6114 -3.2813 7.2192
Tb Y Sc
2 6 3
direct
0.0360 0.3159 0.3603
0.9640 0.6841 0.6397
0.0860 0.1434 0.7107
0.3400 0.9473 0.1167
0.4955 0.5982 0.8293
0.5045 0.4018 0.1707
0.6600 0.0527 0.8833
0.9140 0.8566 0.2893
0.0000 0.5000 0.0000
0.4361 0.7694 0.4435
0.5639 0.2306 0.5565
```

Entry 4:
# PmDyMgZn
Calculated powder XRD pattern, Cu Kα, 1.54184 Å. Input: a GGA-PBE-relaxed structure.

Principal peaks in the range 10 to 90 degrees two-theta, low angle first:
2θ 11.4, I 197
2θ 22.8, I 169
2θ 24.5, I 330
2θ 33.7, I 1000
2θ 34.9, I 497
2θ 42.1, I 139
2θ 42.8, I 124
2θ 50.1, I 177
2θ 59.5, I 146
2θ 61.8, I 343

```
PmDyMgZn
1.0
3.6407 0.0000 0.0000
0.0000 3.6407 0.0000
0.0000 0.0000 7.7921
Pm Dy Mg Zn
1 1 1 1
direct
0.0000 0.0000 0.0000
0.0000 0.0000 0.4487
0.5000 0.5000 0.7164
0.5000 0.5000 0.2384
```

Entry 5:
# K3TeO6
Calculated powder XRD pattern, Cu Kα, 1.54184 Å. Input: a GGA-PBE-relaxed structure.

Principal peaks in the range 10 to 90 degrees two-theta, low angle first:
2θ 15.8, I 402
2θ 17.9, I 1000
2θ 23.1, I 421
2θ 27.5, I 841
2θ 29.8, I 769
2θ 41.0, I 439
2θ 44.1, I 204
2θ 48.6, I 237
2θ 50.1, I 448
2θ 65.4, I 159

```
K3TeO6
1.0
6.4904 0.0000 0.0000
-3.2452 5.6208 0.0000
0.0000 0.0000 10.6092
K Te O
6 2 12
direct
0.0000 0.0000 0.0000
0.0000 0.0000 0.5000
0.3333 0.6667 0.0853
0.3333 0.6667 0.4147
0.6667 0.3333 0.5853
0.6667 0.3333 0.9147
0.3333 0.6667 0.7500
0.6667 0.3333 0.2500
0.1060 0.4124 0.6440
0.1060 0.6935 0.8560
0.3065 0.4124 0.8560
0.3065 0.8940 0.6440
0.4124 0.1060 0.3560
0.4124 0.3065 0.1440
0.5876 0.6935 0.6440
0.5876 0.8940 0.8560
0.6935 0.1060 0.1440
0.6935 0.5876 0.3560
0.8940 0.3065 0.3560
0.8940 0.5876 0.1440
```

Entry 6:
# Ho2TmPaN4
Calculated powder XRD pattern, Cu Kα, 1.54184 Å. Input: a GGA-PBE-relaxed structure.

Principal peaks in the range 10 to 90 degrees two-theta, low angle first:
2θ 31.8, I 1000
2θ 36.7, I 461
2θ 37.0, I 226
2θ 53.1, I 238
2θ 53.2, I 158
2θ 63.0, I 151
2θ 63.1, I 150
2θ 63.4, I 148
2θ 87.1, I 98
2θ 89.8, I 112

```
Ho2TmPaN4
1.0
5.9550 0.0000 0.0000
0.0000 3.4649 0.0000
-1.9573 0.0000 5.6326
Ho Tm Pa N
2 1 1 4
direct
0.0000 0.0000 0.0000
0.5000 0.5000 0.0000
0.0000 0.5000 0.5000
0.5000 0.0000 0.5000
0.2542 0.5000 0.2574
0.2550 0.0000 0.7395
0.7450 0.0000 0.2605
0.7458 0.5000 0.7426
```

Entry 7:
# Rb3Cu2Br2Cl4
Calculated powder XRD pattern, Cu Kα, 1.54184 Å. Input: a GGA-PBE-relaxed structure.

Principal peaks in the range 10 to 90 degrees two-theta, low angle first:
2θ 24.5, I 457
2θ 26.1, I 900
2θ 26.9, I 298
2θ 29.2, I 455
2θ 32.4, I 334
2θ 32.6, I 794
2θ 37.3, I 1000
2θ 42.0, I 292
2θ 50.2, I 364
2θ 53.7, I 328

```
Rb3Cu2Br2Cl4
1.0
-2.4134 2.4134 13.8329
2.4134 -2.4134 13.8329
2.4134 2.4134 -13.8329
Rb Cu Br Cl
3 2 2 4
direct
0.0000 0.0000 0.0000
0.1767 0.1767 0.0000
0.8233 0.8233 0.0000
0.3989 0.3989 0.0000
0.6011 0.6011 0.0000
0.3063 0.3063 0.0000
0.6937 0.6937 0.0000
0.0841 0.5841 0.5000
0.4159 0.9159 0.5000
0.5841 0.0841 0.5000
0.9159 0.4159 0.5000
```

Entry 8:
# CaFeSeBr2
Calculated powder XRD pattern, Cu Kα, 1.54184 Å. Input: a GGA-PBE-relaxed structure.

Principal peaks in the range 10 to 90 degrees two-theta, low angle first:
2θ 17.5, I 361
2θ 17.8, I 192
2θ 30.8, I 1000
2θ 35.5, I 785
2θ 36.1, I 372
2θ 51.0, I 266
2θ 51.5, I 516
2θ 60.8, I 274
2θ 61.7, I 131
2θ 64.1, I 261

```
CaFeSeBr2
1.0
5.0634 0.0000 0.0000
0.0000 5.0634 0.0000
0.0000 0.0000 4.9736
Ca Fe Se Br
1 1 1 2
direct
0.0000 0.0000 0.0000
0.5000 0.5000 0.5000
0.5000 0.5000 0.0000
0.0000 0.5000 0.5000
0.5000 0.0000 0.5000
```